The following is a simulated powder diffraction line list of Pa4ReN7. It was derived from a DFT-relaxed cell (PBE, Alexandria), using CuKα.
Lines closer than 0.1° are merged.

Top 10 peaks for 5° ≤ 2θ ≤ 70°, in order of rising 2θ:
30.4°, intensity 39
30.6°, intensity 58
31.3°, intensity 100
32.1°, intensity 79
44.8°, intensity 17
46.5°, intensity 16
47.1°, intensity 23
54.4°, intensity 20
55.9°, intensity 21
57.3°, intensity 21

```
data_Pa4ReN7
_chemical_formula_sum 'Pa4 Re1 N7'
_space_group_name_H-M_alt 'P 1'
_space_group_IT_number 1
_cell_length_a 6.725
_cell_length_b 6.725
_cell_length_c 9.106
_cell_angle_alpha 130.68
_cell_angle_beta 130.68
_cell_angle_gamma 33.33
loop_
_space_group_symop_operation_xyz
'x,y,z'
loop_
_atom_site_label
_atom_site_fract_x
_atom_site_fract_y
_atom_site_fract_z
Pa1 0.080 0.080 0.375
Pa2 0.254 0.254 0.169
Pa3 0.746 0.746 0.831
Pa4 0.920 0.920 0.625
Re1 0.500 0.500 0.000
N1 0.000 0.000 0.000
N2 0.127 0.127 0.678
N3 0.304 0.304 0.461
N4 0.399 0.399 0.110
N5 0.601 0.601 0.890
N6 0.696 0.696 0.539
N7 0.873 0.873 0.322
```


The following is a simulated powder diffraction line list of NiMoPt4. It was derived from a DFT-relaxed cell (PBE, Alexandria), using CuKα.
Lines closer than 0.1° are merged.

Top 10 peaks for 5° ≤ 2θ ≤ 70°, in order of rising 2θ:
22.5°, intensity 24
37.4°, intensity 21
37.6°, intensity 48
40.0°, intensity 77
42.0°, intensity 98
42.6°, intensity 100
43.4°, intensity 89
54.9°, intensity 16
67.5°, intensity 33
67.9°, intensity 16

```
data_NiMoPt4
_chemical_formula_sum 'Ni2 Mo2 Pt8'
_space_group_name_H-M_alt 'P 1'
_space_group_IT_number 1
_cell_length_a 6.985
_cell_length_b 4.813
_cell_length_c 5.394
_cell_angle_alpha 90.00
_cell_angle_beta 96.96
_cell_angle_gamma 90.00
loop_
_space_group_symop_operation_xyz
'x,y,z'
loop_
_atom_site_label
_atom_site_fract_x
_atom_site_fract_y
_atom_site_fract_z
Ni1 0.000 0.084 0.250
Ni2 0.000 0.916 0.750
Mo1 0.500 0.419 0.250
Mo2 0.500 0.581 0.750
Pt1 0.167 0.413 0.916
Pt2 0.167 0.587 0.416
Pt3 0.330 0.086 0.579
Pt4 0.330 0.914 0.079
Pt5 0.670 0.086 0.921
Pt6 0.670 0.914 0.421
Pt7 0.833 0.413 0.584
Pt8 0.833 0.587 0.084
```


The following is a simulated powder diffraction line list of CaY2SnO6. It was derived from a DFT-relaxed cell (PBE, Alexandria), using CuKα.
Lines closer than 0.1° are merged.

Top 10 peaks for 5° ≤ 2θ ≤ 70°, in order of rising 2θ:
18.8°, intensity 25
21.4°, intensity 26
29.7°, intensity 100
31.2°, intensity 93
36.0°, intensity 18
43.6°, intensity 43
48.1°, intensity 44
54.6°, intensity 42
55.5°, intensity 33
64.4°, intensity 13

```
data_CaY2SnO6
_chemical_formula_sum 'Ca1 Y2 Sn1 O6'
_space_group_name_H-M_alt 'P 1'
_space_group_IT_number 1
_cell_length_a 6.029
_cell_length_b 6.029
_cell_length_c 6.029
_cell_angle_alpha 56.77
_cell_angle_beta 56.77
_cell_angle_gamma 56.77
loop_
_space_group_symop_operation_xyz
'x,y,z'
loop_
_atom_site_label
_atom_site_fract_x
_atom_site_fract_y
_atom_site_fract_z
Ca1 0.000 0.000 0.000
Y1 0.278 0.278 0.278
Y2 0.781 0.781 0.781
Sn1 0.488 0.488 0.488
O1 0.111 0.671 0.397
O2 0.214 0.589 0.857
O3 0.397 0.111 0.671
O4 0.589 0.857 0.214
O5 0.671 0.397 0.111
O6 0.857 0.214 0.589
```


The following is a simulated powder diffraction line list of AcPPt6. It was derived from a DFT-relaxed cell (PBE, Alexandria), using CuKα.
Lines closer than 0.1° are merged.

Top 10 peaks for 5° ≤ 2θ ≤ 70°, in order of rising 2θ:
27.5°, intensity 36
31.2°, intensity 31
31.7°, intensity 23
36.7°, intensity 100
37.8°, intensity 47
44.8°, intensity 32
45.1°, intensity 22
52.5°, intensity 19
55.9°, intensity 15
65.2°, intensity 45

```
data_AcPPt6
_chemical_formula_sum 'Ac1 P1 Pt6'
_space_group_name_H-M_alt 'P 1'
_space_group_IT_number 1
_cell_length_a 6.610
_cell_length_b 6.610
_cell_length_c 6.610
_cell_angle_alpha 51.27
_cell_angle_beta 51.27
_cell_angle_gamma 51.27
loop_
_space_group_symop_operation_xyz
'x,y,z'
loop_
_atom_site_label
_atom_site_fract_x
_atom_site_fract_y
_atom_site_fract_z
Ac1 0.000 0.000 0.000
P1 0.500 0.500 0.500
Pt1 0.066 0.589 0.589
Pt2 0.411 0.411 0.934
Pt3 0.411 0.934 0.411
Pt4 0.589 0.066 0.589
Pt5 0.589 0.589 0.066
Pt6 0.934 0.411 0.411
```


The following is a simulated powder diffraction line list of CuAu2S6. It was derived from a DFT-relaxed cell (PBE, Alexandria), using CuKα.
Lines closer than 0.1° are merged.

Top 10 peaks for 5° ≤ 2θ ≤ 70°, in order of rising 2θ:
14.7°, intensity 100
15.8°, intensity 31
17.9°, intensity 31
18.1°, intensity 64
24.1°, intensity 32
24.9°, intensity 84
31.8°, intensity 27
34.2°, intensity 40
35.0°, intensity 30
48.0°, intensity 28

```
data_CuAu2S6
_chemical_formula_sum 'Cu1 Au2 S6'
_space_group_name_H-M_alt 'P 1'
_space_group_IT_number 1
_cell_length_a 6.016
_cell_length_b 6.299
_cell_length_c 6.447
_cell_angle_alpha 100.59
_cell_angle_beta 105.96
_cell_angle_gamma 99.87
loop_
_space_group_symop_operation_xyz
'x,y,z'
loop_
_atom_site_label
_atom_site_fract_x
_atom_site_fract_y
_atom_site_fract_z
Cu1 0.000 0.000 0.000
Au1 0.361 0.714 0.855
Au2 0.639 0.286 0.145
S1 0.055 0.425 0.876
S2 0.349 0.448 0.533
S3 0.358 0.981 0.170
S4 0.642 0.019 0.830
S5 0.651 0.552 0.467
S6 0.945 0.575 0.124
```